Starting from a GGA+U-relaxed structure, the powder XRD pattern of Li4Cu3Ni3W2O16 was computed for Cu Kα (λ = 1.5418 Å).

Atomic structure:
Cell: 5.9370 5.9370 9.8621 Å, 93.32 93.32 58.24°
Sites, in units of the cell vectors:
Li 0.0000 0.0000 0.0000
Li 0.0084 0.0084 0.4988
Li 0.3438 0.3438 0.4204
Li 0.6637 0.6637 0.9258
Cu 0.1691 0.6699 0.7236
Cu 0.6699 0.1691 0.7236
Cu 0.8388 0.8388 0.2247
Ni 0.1778 0.1778 0.7277
Ni 0.3447 0.8375 0.2247
Ni 0.8375 0.3447 0.2247
W 0.3198 0.3198 0.0014
W 0.6685 0.6685 0.4910
O 0.0035 0.0035 0.3111
O 0.0050 0.0050 0.8102
O 0.0267 0.4787 0.8770
O 0.1794 0.1794 0.1114
O 0.1838 0.6671 0.0964
O 0.3441 0.3441 0.6302
O 0.3657 0.8639 0.5909
O 0.4763 0.4763 0.8456
O 0.4787 0.0267 0.8770
O 0.5228 0.5228 0.3639
O 0.5383 0.9733 0.3631
O 0.6671 0.1838 0.0964
O 0.6773 0.6773 0.1306
O 0.8539 0.8539 0.6052
O 0.8639 0.3657 0.5909
O 0.9733 0.5383 0.3631

Largest 6 diffraction maxima, in order of falling intensity, 5 to 70 degrees two-theta:
two_theta  I_rel
19.51  100.0
20.03  99.0
36.50  65.1
19.91  47.6
36.28  45.6
34.44  45.5



Starting from a GGA+U-relaxed structure, the powder XRD pattern of Li4V3Cu3Sb2O16 was computed for Cu Kα (λ = 1.5418 Å).

Atomic structure:
Cell: 5.9277 5.9675 9.8163 Å, 92.65 90.39 118.77°
Sites, in units of the cell vectors:
Li 0.0000 0.0000 0.0000
Li 0.0101 0.0131 0.5127
Li 0.3322 0.6713 0.4309
Li 0.6624 0.3083 0.9210
V 0.1796 0.3503 0.7422
V 0.3421 0.1854 0.2310
V 0.8298 0.1774 0.2403
Cu 0.1720 0.8302 0.7290
Cu 0.6618 0.8311 0.7284
Cu 0.8325 0.6648 0.2291
Sb 0.3448 0.6701 0.0051
Sb 0.6735 0.3474 0.5130
O 0.0008 0.0149 0.3191
O 0.0077 0.0131 0.8109
O 0.0278 0.4814 0.8814
O 0.1745 0.3436 0.1279
O 0.2043 0.8709 0.1149
O 0.3242 0.6426 0.6357
O 0.3477 0.1924 0.6097
O 0.4581 0.4702 0.8800
O 0.4798 0.9431 0.8669
O 0.4852 0.4523 0.3645
O 0.5306 0.0439 0.3596
O 0.6714 0.3168 0.1303
O 0.6828 0.8434 0.1115
O 0.8421 0.6935 0.6048
O 0.8566 0.1994 0.6091
O 0.9596 0.4799 0.3655

Largest 6 diffraction maxima, in order of falling intensity, 5 to 70 degrees two-theta:
two_theta  I_rel
19.66  100.0
36.04  60.6
19.75  52.4
19.07  51.5
19.39  47.0
18.80  44.9



Starting from a GGA+U-relaxed structure, the powder XRD pattern of Li4V3Cu3Te2O16 was computed for Cu Kα (λ = 1.5418 Å).

Atomic structure:
Cell: 5.9216 5.9862 9.8947 Å, 87.54 89.99 60.48°
Sites, in units of the cell vectors:
Li 0.0000 0.0000 0.0000
Li 0.0061 0.9898 0.5093
Li 0.3491 0.2973 0.5787
Li 0.6680 0.6584 0.0718
V 0.1728 0.1736 0.2677
V 0.6549 0.1720 0.2729
V 0.8280 0.3423 0.7636
Cu 0.1709 0.6572 0.2799
Cu 0.3450 0.8229 0.7792
Cu 0.8300 0.8229 0.7791
Te 0.3301 0.3390 0.9988
Te 0.6718 0.6566 0.5002
O 0.0057 0.0081 0.1922
O 0.0377 0.4599 0.1341
O 0.1627 0.6725 0.9043
O 0.1652 0.1831 0.8992
O 0.3310 0.3038 0.3779
O 0.3397 0.8301 0.3998
O 0.4749 0.0316 0.1423
O 0.4991 0.4585 0.1347
O 0.5349 0.9286 0.6336
O 0.5503 0.4670 0.6228
O 0.6509 0.1808 0.9003
O 0.6849 0.6269 0.8703
O 0.8292 0.8344 0.4015
O 0.8341 0.3393 0.3859
O 0.9803 0.4696 0.6241
O 0.9953 0.0080 0.7009

Largest 6 diffraction maxima, in order of falling intensity, 5 to 70 degrees two-theta:
two_theta  I_rel
19.65  100.0
19.25  64.4
35.73  31.0
34.36  29.3
18.88  26.8
31.90  25.2



Starting from a GGA+U-relaxed structure, the powder XRD pattern of Li4Ti2V3Cu3O16 was computed for Cu Kα (λ = 1.5418 Å).

Atomic structure:
Cell: 5.8226 5.9979 9.6857 Å, 93.31 90.06 119.04°
Sites, in units of the cell vectors:
Li 0.0000 0.0000 0.0000
Li 0.0051 0.0135 0.5114
Li 0.3303 0.6830 0.4253
Li 0.6545 0.3078 0.9165
Ti 0.3527 0.7130 0.0005
Ti 0.6710 0.3418 0.5201
V 0.1804 0.3550 0.7501
V 0.3494 0.2019 0.2379
V 0.8404 0.1885 0.2341
Cu 0.1663 0.8324 0.7195
Cu 0.6626 0.8334 0.7189
Cu 0.8381 0.6725 0.2186
O 0.0076 0.0193 0.8074
O 0.0150 0.0116 0.3187
O 0.0231 0.4772 0.8670
O 0.1683 0.3206 0.1242
O 0.1829 0.8539 0.1024
O 0.3188 0.6416 0.6312
O 0.3524 0.2129 0.6068
O 0.4554 0.4769 0.8669
O 0.4704 0.9431 0.8606
O 0.4949 0.4729 0.3539
O 0.5066 0.0459 0.3474
O 0.6454 0.3200 0.1224
O 0.6716 0.8627 0.1063
O 0.8400 0.6832 0.5958
O 0.8543 0.2110 0.6060
O 0.9612 0.4639 0.3537

Largest 6 diffraction maxima, in order of falling intensity, 5 to 70 degrees two-theta:
two_theta  I_rel
18.36  100.0
36.20  59.0
19.45  39.9
19.98  39.4
34.31  34.6
62.03  33.3